Entry 1:
# Sr4SbAs2
Theoretical X-ray powder pattern, Cu Ka. Input: a DFT-relaxed cell (GGA-PBE, Alexandria).

Main lines, sorted by position (10° ≤ 2θ ≤ 80°):
2θ (°)	Rel. int.
29.0	100
29.4	55
34.5	38
34.6	42
34.8	21
58.5	20

Atomic structure:
```
Sr4SbAs2
1.0
-4.866 4.866 4.801
4.866 -4.866 4.801
4.866 4.866 -4.801
Sr Sb As
8 2 4
direct
0.133 0.737 0.746 Sr
0.137 0.241 0.754 Sr
0.263 0.009 0.396 Sr
0.487 0.383 0.246 Sr
0.613 0.867 0.604 Sr
0.617 0.863 0.104 Sr
0.759 0.513 0.896 Sr
0.991 0.387 0.254 Sr
0.000 0.000 0.000 Sb
0.750 0.250 0.500 Sb
0.249 0.625 0.124 As
0.375 0.499 0.624 As
0.501 0.125 0.876 As
0.875 0.751 0.376 As
```

Entry 2:
# Ho8Ge3Te3As
Theoretical X-ray powder pattern, Cu Ka. Input: a DFT-relaxed cell (GGA-PBE, Alexandria).

Main lines, sorted by position (10° ≤ 2θ ≤ 80°):
2θ (°)	Rel. int.
26.0	14
30.0	100
42.7	34
43.2	38
53.5	20
71.1	17

Atomic structure:
```
Ho8Ge3Te3As
1.0
4.188 2.418 6.959
-4.188 2.418 6.959
0.000 -4.836 6.959
Ho Ge Te As
8 3 3 1
direct
0.234 0.744 0.744 Ho
0.240 0.240 0.240 Ho
0.256 0.256 0.766 Ho
0.256 0.766 0.256 Ho
0.744 0.234 0.744 Ho
0.744 0.744 0.234 Ho
0.760 0.760 0.760 Ho
0.766 0.256 0.256 Ho
0.000 0.000 0.500 Ge
0.000 0.500 0.000 Ge
0.500 0.000 0.000 Ge
0.000 0.500 0.500 Te
0.500 0.000 0.500 Te
0.500 0.500 0.000 Te
0.500 0.500 0.500 As
```

Copy entry 1 word for word.
# Sr4SbAs2
Theoretical X-ray powder pattern, Cu Ka. Input: a DFT-relaxed cell (GGA-PBE, Alexandria).

Main lines, sorted by position (10° ≤ 2θ ≤ 80°):
2θ (°)	Rel. int.
29.0	100
29.4	55
34.5	38
34.6	42
34.8	21
58.5	20

Atomic structure:
```
Sr4SbAs2
1.0
-4.866 4.866 4.801
4.866 -4.866 4.801
4.866 4.866 -4.801
Sr Sb As
8 2 4
direct
0.133 0.737 0.746 Sr
0.137 0.241 0.754 Sr
0.263 0.009 0.396 Sr
0.487 0.383 0.246 Sr
0.613 0.867 0.604 Sr
0.617 0.863 0.104 Sr
0.759 0.513 0.896 Sr
0.991 0.387 0.254 Sr
0.000 0.000 0.000 Sb
0.750 0.250 0.500 Sb
0.249 0.625 0.124 As
0.375 0.499 0.624 As
0.501 0.125 0.876 As
0.875 0.751 0.376 As
```